(1)
The following is a calculated X-ray powder pattern of HoAgHg2. It was derived from DFT lattice parameters and positions (PBE), using Cu Kα.

```
16
Lattice="7.0915 0.0000 0.0000 0.0000 7.0915 0.0000 0.0000 0.0000 7.0915" Properties=species:S:1:pos:R:3 pbc="T T T"
Ho 0.0000 0.0000 0.0000
Ho 0.0000 3.5458 3.5458
Ho 3.5458 0.0000 3.5458
Ho 3.5458 3.5458 0.0000
Ag 0.0000 0.0000 3.5458
Ag 0.0000 3.5458 0.0000
Ag 3.5458 0.0000 0.0000
Ag 3.5458 3.5458 3.5458
Hg 1.7729 1.7729 1.7729
Hg 1.7729 1.7729 5.3186
Hg 1.7729 5.3186 1.7729
Hg 1.7729 5.3186 5.3186
Hg 5.3186 1.7729 1.7729
Hg 5.3186 1.7729 5.3186
Hg 5.3186 5.3186 1.7729
Hg 5.3186 5.3186 5.3186
```

Largest 8 diffraction maxima, sorted by position, 5 to 70 degrees two-theta:
| 2θ/deg | I (rel.) |
| --- | --- |
| 21.7 | 1 |
| 25.1 | 4 |
| 35.8 | 100 |
| 42.3 | 1 |
| 44.2 | 1 |
| 51.6 | 18 |
| 58.2 | 2 |
| 64.4 | 36 |

---

(2)
The following is a calculated X-ray powder pattern of RbUSe2O8. It was derived from DFT lattice parameters and positions (PBE), using Cu Kα.

```
48
Lattice="9.0675 0.0000 0.0000 0.0000 10.4062 0.0000 -8.5408 0.0000 10.0129" Properties=species:S:1:pos:R:3 pbc="T T T"
Rb -1.7198 0.6270 4.4239
Rb -5.9902 4.5761 9.4304
Rb 6.5169 5.8301 0.5826
Rb 2.2465 9.7792 5.5890
U -3.0419 7.3216 6.8688
U 1.2285 8.2877 1.8623
U -0.7018 2.1185 8.1506
U 3.5686 3.0846 3.1441
Se 1.0881 1.3146 0.9850
Se -3.1823 3.8885 5.9915
Se -4.1636 0.3502 8.0446
Se 0.1069 4.8529 3.0381
Se 0.4198 5.5533 6.9748
Se 4.6902 10.0560 1.9683
Se 3.7090 6.5177 4.0214
Se -0.5614 9.0916 9.0279
O -7.9082 2.1548 9.5656
O -3.6378 3.0483 4.5591
O -5.4478 1.3378 7.6531
O -1.1774 3.8653 2.6466
O -0.1702 6.3404 2.2397
O -4.4406 9.2689 7.2462
O -2.7601 5.4842 5.4462
O 1.5103 10.1251 0.4397
O 2.2468 7.2671 0.7472
O -2.0237 8.3422 5.7536
O -3.9169 6.2414 8.0645
O 0.3535 9.3679 3.0581
O -2.7319 1.0013 7.3663
O 1.5385 4.2018 2.3598
O 2.6744 1.9726 1.2406
O -1.5960 3.2305 6.2471
O 2.1226 7.1757 3.7659
O -2.1478 8.4336 8.7723
O -1.0118 6.2044 7.6531
O 3.2586 9.4049 2.6467
O 0.1731 1.0383 6.9548
O 4.4435 4.1648 1.9484
O 2.5503 2.0640 4.2593
O -1.7201 3.1391 9.2657
O -0.9836 0.2811 9.5732
O 3.2868 4.9220 4.5667
O 4.9673 1.1373 2.7667
O 0.6968 4.0658 7.7732
O 1.7040 6.5409 7.3663
O 5.9744 9.0684 2.3599
O 4.1645 7.3579 5.4538
O 8.4349 8.2514 0.4473
```

Largest 12 diffraction maxima, sorted by position, 5 to 70 degrees two-theta:
| 2θ/deg | I (rel.) |
| --- | --- |
| 13.5 | 100 |
| 15.4 | 26 |
| 16.0 | 30 |
| 19.7 | 33 |
| 21.4 | 36 |
| 21.8 | 63 |
| 22.4 | 44 |
| 23.6 | 29 |
| 25.8 | 58 |
| 27.2 | 33 |
| 27.5 | 26 |
| 28.8 | 47 |

---

(3)
The following is a calculated X-ray powder pattern of Ac3Lu. It was derived from DFT lattice parameters and positions (PBE), using Cu Kα.

```
8
Lattice="5.4677 0.0000 0.0000 0.0000 5.4677 0.0000 0.0000 0.0000 10.9549" Properties=species:S:1:pos:R:3 pbc="T T T"
Ac 0.0000 0.0000 0.0000
Ac 0.0000 2.7338 2.7387
Ac 0.0000 2.7338 8.2162
Ac 2.7338 0.0000 2.7387
Ac 2.7338 0.0000 8.2162
Ac 2.7338 2.7338 5.4775
Lu 0.0000 0.0000 5.4775
Lu 2.7338 2.7338 0.0000
```

Largest 8 diffraction maxima, sorted by position, 5 to 70 degrees two-theta:
| 2θ/deg | I (rel.) |
| --- | --- |
| 18.1 | 1 |
| 28.3 | 100 |
| 32.7 | 51 |
| 47.0 | 38 |
| 55.7 | 47 |
| 58.4 | 14 |
| 68.5 | 2 |
| 68.7 | 4 |

---

(4)
The following is a calculated X-ray powder pattern of Ba2NdRuO6. It was derived from DFT lattice parameters and positions (PBE), using Cu Kα.

```
10
Lattice="5.2493 -3.0283 0.0000 5.2493 3.0283 0.0000 -3.5248 0.0000 4.9817" Properties=species:S:1:pos:R:3 pbc="T T T"
Ba 1.7426 0.0000 1.2259
Ba 5.2313 0.0000 3.7559
Nd -1.7624 0.0000 2.4909
Ru 5.2493 0.0000 0.0000
O 4.2774 1.4015 1.0224
O 0.2816 0.0000 3.6137
O 2.6965 1.4015 3.9594
O 4.2774 -1.4015 1.0224
O 6.6923 0.0000 1.3681
O 2.6965 -1.4015 3.9594
```

Largest 12 diffraction maxima, sorted by position, 5 to 70 degrees two-theta:
| 2θ/deg | I (rel.) |
| --- | --- |
| 29.3 | 25 |
| 29.4 | 100 |
| 29.5 | 25 |
| 42.0 | 29 |
| 42.2 | 14 |
| 51.9 | 10 |
| 52.1 | 16 |
| 52.3 | 35 |
| 61.0 | 9 |
| 61.2 | 13 |
| 69.0 | 5 |
| 69.2 | 14 |

---

(5)
The following is a calculated X-ray powder pattern of SrTiF5. It was derived from DFT lattice parameters and positions (PBE), using Cu Kα.

```
56
Lattice="7.2506 0.0000 0.0000 0.0000 7.4056 0.0000 -1.2520 0.0000 14.9629" Properties=species:S:1:pos:R:3 pbc="T T T"
Sr -0.1483 1.1278 2.0158
Sr -0.7743 2.5750 9.4972
Sr 1.7233 1.1296 6.2028
Sr 1.0973 2.5732 13.6842
Sr 4.9013 4.8324 1.2787
Sr 4.2753 6.2761 8.7602
Sr 6.7729 4.8306 5.4657
Sr 6.1469 6.2779 12.9472
Ti 1.2153 5.0426 1.8729
Ti 0.5893 6.0659 9.3544
Ti 3.1531 4.5737 5.0542
Ti 2.5271 6.5348 12.5357
Ti 3.4715 0.8709 2.4272
Ti 2.8455 2.8320 9.9087
Ti 5.4093 1.3397 5.6085
Ti 4.7833 2.3631 13.0900
F 6.4890 0.0859 9.0943
F 7.1150 3.6169 1.6128
F -1.1164 3.7887 13.3501
F -0.4904 7.3197 5.8686
F -0.6608 5.1250 10.5820
F -0.0348 5.9835 3.1005
F -0.3873 5.0187 7.9649
F 0.2387 6.0898 0.4835
F 1.0447 0.0613 13.4832
F 1.6707 3.6415 6.0017
F 1.9411 1.2091 3.6283
F 1.3151 2.4937 11.1098
F 2.2105 1.4903 1.0149
F 1.5845 2.2125 8.4963
F 2.0641 4.1520 3.4269
F 1.4381 6.9565 10.9084
F 1.4395 4.9458 12.7451
F 2.0655 6.1627 5.2637
F 2.5042 4.2836 0.6011
F 1.8782 6.8248 8.0826
F 2.0014 4.6717 9.6396
F 2.6274 6.4368 2.1582
F 3.3712 0.9689 12.8047
F 3.9972 2.7340 5.3233
F 4.1204 0.5808 6.8803
F 3.4944 3.1220 14.3618
F 3.9331 1.2430 9.6992
F 4.5591 2.4598 2.2178
F 4.5605 0.4492 4.0545
F 3.9345 3.2536 11.5360
F 4.4141 5.1931 6.4666
F 3.7881 5.9153 13.9480
F 4.6835 4.9119 3.8531
F 4.0575 6.1965 11.3346
F 4.3278 3.7641 8.9612
F 4.9538 7.3444 1.4797
F 5.7599 1.3158 14.4794
F 6.3859 2.3870 6.9980
F 6.0334 1.4222 11.8624
F 6.6594 2.2806 4.3809
```

Largest 12 diffraction maxima, sorted by position, 5 to 70 degrees two-theta:
| 2θ/deg | I (rel.) |
| --- | --- |
| 21.5 | 45 |
| 23.8 | 92 |
| 24.8 | 100 |
| 29.1 | 79 |
| 30.1 | 44 |
| 37.3 | 39 |
| 38.9 | 32 |
| 41.1 | 36 |
| 44.1 | 48 |
| 45.2 | 62 |
| 47.4 | 36 |
| 47.8 | 46 |